Record 1
For Al2Hg, a crystal structure in OQMD, relaxed with GGA-PBE gives the theoretical powder diffractogram in this record (Cu Kα X-rays).

Atomic structure:
Lattice parameters (Å, degrees): 7.8599 7.8599 7.8599 90.00 90.00 90.00
Space group Fd-3m (No. 227, origin choice 2)
Symmetry-distinct sites (fractional):
Al (0.0000, 0.0000, 0.0000) [16 per cell]
Hg (0.1250, 0.1250, 0.6250) [8 per cell]

Top 10 peaks for 10 to 90 degrees two-theta, by intensity:
32.21°, intensity 100.0; 37.97°, intensity 91.7; 19.56°, intensity 70.0; 57.44°, intensity 39.6; 61.28°, intensity 30.6; 67.40°, intensity 19.6; 50.62°, intensity 19.1; 76.68°, intensity 17.4; 70.94°, intensity 14.3; 80.06°, intensity 10.9

---

Record 2
For Al3Hg, a crystal structure in OQMD, relaxed with GGA-PBE gives the theoretical powder diffractogram in this record (Cu Kα X-rays).

Atomic structure:
Lattice parameters (Å, degrees): 4.1190 4.1190 8.8060 90.00 90.00 90.00
Space group I4/mmm (No. 139)
Symmetry-distinct sites (fractional):
Al (0.0000, 0.0000, 0.0000) [2 per cell]
Al (0.0000, 0.5000, 0.2500) [4 per cell]
Hg (0.0000, 0.0000, 0.5000) [2 per cell]

Top 10 peaks for 10 to 90 degrees two-theta, by intensity:
23.85°, intensity 100.0; 37.01°, intensity 88.2; 20.17°, intensity 36.7; 37.63°, intensity 32.2; 50.63°, intensity 28.1; 30.70°, intensity 27.2; 43.96°, intensity 27.2; 76.22°, intensity 21.9; 61.67°, intensity 20.0; 59.22°, intensity 17.7

---

Record 3
For AlHg, a crystal structure in OQMD, relaxed with GGA-PBE gives the theoretical powder diffractogram in this record (Cu Kα X-rays).

Atomic structure:
Lattice parameters (Å, degrees): 5.6277 5.6277 5.6277 90.00 90.00 90.00
Space group Fm-3m (No. 225)
Symmetry-distinct sites (fractional):
Al (0.0000, 0.0000, 0.0000) [4 per cell]
Hg (0.0000, 0.0000, 0.5000) [4 per cell]

Top 9 peaks for 10 to 90 degrees two-theta, by intensity:
27.45°, intensity 100.0; 31.80°, intensity 90.3; 45.59°, intensity 67.5; 54.04°, intensity 48.5; 75.56°, intensity 31.2; 84.30°, intensity 24.1; 56.66°, intensity 23.8; 73.33°, intensity 20.1; 66.45°, intensity 11.1

---

Record 4
For Ho2Al3Hg3, a crystal structure in OQMD, relaxed with GGA-PBE gives the theoretical powder diffractogram in this record (Cu Kα X-rays).

Atomic structure:
Lattice parameters (Å, degrees): 6.3568 4.8234 6.4012 90.00 118.82 90.00
Space group Pm (No. 6)
Symmetry-distinct sites (fractional):
Ho (0.0000, 0.0000, 0.0000) [1 per cell]
Ho (0.3269, 0.5000, 0.6809) [1 per cell]
Al (0.3593, 0.5000, 0.1813) [1 per cell]
Al (0.5063, 0.0000, 0.0354) [1 per cell]
Al (0.9581, 0.0000, 0.4815) [1 per cell]
Hg (0.4772, 0.0000, 0.4904) [1 per cell]
Hg (0.8292, 0.5000, 0.1705) [1 per cell]
Hg (0.8319, 0.5000, 0.6622) [1 per cell]

Top 10 peaks for 10 to 90 degrees two-theta, by intensity:
37.29°, intensity 100.0; 37.08°, intensity 67.2; 37.70°, intensity 62.2; 24.57°, intensity 41.6; 69.86°, intensity 21.5; 32.14°, intensity 20.4; 24.39°, intensity 19.5; 27.48°, intensity 18.0; 16.14°, intensity 16.8; 32.61°, intensity 15.2

---

Q: Which formula does entry 4 have?
A: Ho2Al3Hg3